(1)
Structure and computed powder diffraction line list of Ba2SeI (the PBE geometry in Alexandria; Cu Kα, 1.54184 Å).
Neutral-atom scattering factors, no anomalous dispersion.

Principal peaks in the range 2θ from 10° to 90°, by angle:
two_theta, intensity, (hkl)
21.7, 109, 1 0 0
24.2, 156, 1 0 2
27.0, 1000, 1 0 3
30.5, 124, 1 0 4
34.6, 101, 1 0 5
38.1, 430, 1 1 0
39.0, 201, 1 0 6
47.3, 212, 2 0 3
58.9, 125, 1 1 8
62.2, 187, 2 1 3

Cell and atoms:
a = 4.7289 Å, b = 4.7289 Å, c = 16.7582 Å
α = 90.00°, β = 90.00°, γ = 120.00°
Space group P6_3/mmc (No. 194)
Asymmetric unit:
Ba 0.3333 0.6667 0.1044 [4 per cell]
Se 0.0000 0.0000 0.0000 [2 per cell]
I 0.3333 0.6667 0.7500 [2 per cell]

(2)
Structure and computed powder diffraction line list of Mg3AsN4 (the PBE geometry in Alexandria; Cu Kα, 1.54184 Å).
Neutral-atom scattering factors, no anomalous dispersion.

Principal peaks in the range 2θ from 10° to 90°, by angle:
two_theta, intensity, (hkl)
19.0, 411, 1 0 0
27.0, 267, 1 1 0
33.2, 1000, 1 1 1
38.6, 201, 2 0 0
43.3, 107, 2 1 0
47.7, 110, 2 1 1
55.7, 467, 2 2 0
59.4, 74, 2 2 1
66.4, 355, 3 1 1
82.7, 65, 4 0 0

Cell and atoms:
a = 4.6698 Å, b = 4.6698 Å, c = 4.6698 Å
α = 90.00°, β = 90.00°, γ = 90.00°
Space group P-43m (No. 215)
Asymmetric unit:
Mg 0.0000 0.0000 0.5000 [3 per cell]
As 0.5000 0.5000 0.5000 [1 per cell]
N 0.2730 0.2730 0.7270 [4 per cell]

(3)
Structure and computed powder diffraction line list of Ca3AlP3 (the PBE geometry in Alexandria; Cu Kα, 1.54184 Å).
Neutral-atom scattering factors, no anomalous dispersion.

Principal peaks in the range 2θ from 10° to 90°, by angle:
two_theta, intensity, (hkl)
30.3, 474, 3 0 3
30.9, 964, 1 1 3
32.0, 886, 3 1 1
32.8, 400, 4 0 2
33.5, 857, 2 1 3
35.0, 527, 1 0 5
37.1, 949, 4 1 0
38.3, 1000, 2 1 4
44.4, 731, 0 2 0
56.6, 287, 5 1 5

Cell and atoms:
a = 12.0304 Å, b = 4.0787 Å, c = 13.1072 Å
α = 90.00°, β = 90.00°, γ = 90.00°
Space group Pnma (No. 62)
Asymmetric unit:
Ca 0.0713 0.2500 0.1047 [4 per cell]
Ca 0.1444 0.7500 0.5018 [4 per cell]
Ca 0.2264 0.7500 0.7906 [4 per cell]
Al 0.0566 0.2500 0.7028 [4 per cell]
P 0.0421 0.2500 0.3506 [4 per cell]
P 0.0976 0.2500 0.8827 [4 per cell]
P 0.2403 0.2500 0.6269 [4 per cell]